No. 1
Simulated XRD peak list of KH4O2F for a wavelength of 1.5418 Å, from a structure optimized by DFT (PBE).
Peak positions follow from Bragg's law for the DFT cell and can differ from measured ones.

The 10 most intense peaks (5 to 70 degrees two-theta), most intense first:
d = 3.035 Å, rel. 100
d = 2.133 Å, rel. 66
d = 3.370 Å, rel. 62
d = 2.610 Å, rel. 57
d = 1.951 Å, rel. 53
d = 3.231 Å, rel. 45
d = 2.566 Å, rel. 42
d = 4.428 Å, rel. 37
d = 2.063 Å, rel. 32
d = 2.179 Å, rel. 25

Crystal structure
```
KH4O2F
1.0
4.1265 0.0000 0.0000
0.0000 5.1936 0.0000
0.0000 0.0000 8.8560
K H O F
2 8 4 2
Cartesian
0.0000 0.5623 0.0000 K
0.0000 4.6312 4.4280 K
0.7835 2.0817 6.0230 H
0.7835 3.1119 1.5950 H
2.0633 1.4234 2.5850 H
2.0633 1.8736 4.0983 H
2.0633 3.3200 8.5263 H
2.0633 3.7702 7.0129 H
3.3430 2.0817 6.0230 H
3.3430 3.1119 1.5950 H
0.0000 1.5432 6.3012 O
0.0000 3.6503 1.8732 O
2.0633 1.0798 3.5100 O
2.0633 4.1138 7.9380 O
2.0633 2.1168 0.9830 F
2.0633 3.0768 5.4109 F
```

No. 2
Simulated XRD peak list of LiC12 for a wavelength of 1.5418 Å, from a structure optimized by DFT (PBE).
Peak positions follow from Bragg's law for the DFT cell and can differ from measured ones.

The 10 most intense peaks (5 to 70 degrees two-theta), most intense first:
d = 3.678 Å, rel. 100
d = 1.839 Å, rel. 9
d = 1.969 Å, rel. 9
d = 2.127 Å, rel. 6
d = 1.736 Å, rel. 4
d = 1.856 Å, rel. 4
d = 2.150 Å, rel. 2
d = 1.503 Å, rel. 2
d = 1.397 Å, rel. 1
d = 2.452 Å, rel. 1

Crystal structure
```
LiC12
1.0
3.7229 -2.1506 0.0000
3.7229 2.1506 0.0000
0.0000 0.0000 14.7107
Li C
2 24
Cartesian
3.7229 1.4340 11.0330 Li
3.7229 -1.4340 3.6777 Li
1.2414 0.0013 9.1485 C
1.2414 0.0013 12.9175 C
3.7229 1.4345 1.7928 C
3.7229 1.4345 5.5626 C
1.2414 -0.0013 1.7932 C
1.2414 -0.0013 5.5622 C
2.4816 0.7154 9.1473 C
2.4816 0.7154 12.9188 C
2.4816 -0.7154 1.7919 C
2.4816 -0.7154 5.5635 C
3.7229 -0.0010 1.7934 C
3.7229 -0.0010 5.5620 C
3.7229 0.0010 9.1487 C
3.7229 0.0010 12.9173 C
4.9641 0.7154 9.1473 C
4.9641 0.7154 12.9188 C
4.9641 -0.7154 1.7919 C
4.9641 -0.7154 5.5635 C
6.2043 0.0013 9.1485 C
6.2043 0.0013 12.9175 C
3.7229 -1.4345 9.1481 C
3.7229 -1.4345 12.9180 C
6.2043 -0.0013 1.7932 C
6.2043 -0.0013 5.5622 C
```

No. 3
Simulated XRD peak list of SrFe2S4 for a wavelength of 1.5418 Å, from a structure optimized by DFT (PBE).
Peak positions follow from Bragg's law for the DFT cell and can differ from measured ones.

The 10 most intense peaks (5 to 70 degrees two-theta), most intense first:
d = 2.150 Å, rel. 100
d = 3.777 Å, rel. 79
d = 2.671 Å, rel. 74
d = 2.838 Å, rel. 70
d = 5.341 Å, rel. 46
d = 1.531 Å, rel. 41
d = 1.689 Å, rel. 39
d = 1.868 Å, rel. 32
d = 4.587 Å, rel. 22
d = 1.419 Å, rel. 22

Crystal structure
```
SrFe2S4
1.0
10.6832 0.0000 0.0000
0.0000 21.3631 0.0000
0.0000 0.0000 5.2296
Sr Fe S
8 16 32
Cartesian
2.6708 0.0057 0.0000 Sr
2.6708 5.3408 0.0000 Sr
2.6708 10.6759 0.0000 Sr
2.6708 16.0223 2.6148 Sr
8.0124 21.3574 0.0000 Sr
8.0124 5.3408 2.6148 Sr
8.0124 10.6872 0.0000 Sr
8.0124 16.0223 0.0000 Sr
0.0053 2.6623 0.0002 Fe
0.0053 8.0193 5.2294 Fe
10.6779 13.3438 0.0002 Fe
10.6779 18.7009 5.2294 Fe
0.0066 13.3558 2.6141 Fe
0.0066 18.6889 2.6155 Fe
5.3350 13.3558 2.6155 Fe
5.3350 18.6889 2.6141 Fe
5.3363 2.6623 5.2294 Fe
5.3363 8.0193 0.0002 Fe
5.3470 13.3438 5.2294 Fe
5.3470 18.7009 0.0002 Fe
5.3482 2.6742 2.6155 Fe
5.3482 8.0073 2.6141 Fe
10.6766 2.6742 2.6141 Fe
10.6766 8.0073 2.6155 Fe
10.6832 0.9687 1.3146 S
10.6790 4.3682 1.3019 S
10.6790 6.3133 3.9277 S
10.6832 9.7128 3.9151 S
0.0001 11.6503 1.3146 S
0.0042 15.0498 1.3019 S
0.0042 16.9949 3.9277 S
0.0001 20.3944 3.9151 S
1.6999 2.6744 3.9141 S
1.6999 8.0072 1.3156 S
1.7008 13.3485 3.9269 S
1.7008 18.6962 1.3027 S
3.6417 2.6744 1.3156 S
3.6417 8.0072 3.9141 S
3.6408 13.3485 1.3027 S
3.6408 18.6962 3.9269 S
5.3417 0.9687 3.9151 S
5.3458 4.3682 3.9277 S
5.3458 6.3133 1.3019 S
5.3417 9.7128 1.3146 S
5.3415 11.6503 3.9151 S
5.3374 15.0498 3.9277 S
5.3374 16.9949 1.3019 S
5.3415 20.3944 1.3146 S
7.0424 2.6669 1.3027 S
7.0424 8.0146 3.9269 S
7.0415 13.3559 1.3156 S
7.0415 18.6888 3.9141 S
8.9824 2.6669 3.9269 S
8.9824 8.0146 1.3027 S
8.9834 13.3559 3.9141 S
8.9834 18.6888 1.3156 S
```

No. 4
Simulated XRD peak list of Cs3HSe2O8 for a wavelength of 1.5418 Å, from a structure optimized by DFT (PBE).
Peak positions follow from Bragg's law for the DFT cell and can differ from measured ones.

The 10 most intense peaks (5 to 70 degrees two-theta), most intense first:
d = 3.677 Å, rel. 100
d = 3.242 Å, rel. 76
d = 3.630 Å, rel. 50
d = 3.256 Å, rel. 35
d = 2.424 Å, rel. 33
d = 1.952 Å, rel. 24
d = 2.211 Å, rel. 21
d = 2.440 Å, rel. 20
d = 1.931 Å, rel. 12
d = 1.486 Å, rel. 12

Crystal structure
```
Cs3HSe2O8
1.0
8.2270 -3.2557 0.0000
8.2270 3.2557 0.0000
-2.3836 0.0000 10.9619
Cs H Se O
6 2 4 16
Cartesian
4.7995 1.6698 1.0753 Cs
7.0352 1.8063 5.4809 Cs
9.7165 1.4493 2.1395 Cs
3.6077 -1.6698 6.5563 Cs
8.2270 -1.8063 0.0000 Cs
8.5247 -1.4493 7.6205 Cs
3.0868 0.2080 9.2103 H
4.2786 -0.2079 3.7294 H
5.0586 1.4065 8.9037 Se
9.3224 1.8637 9.6895 Se
6.2504 -1.4065 3.4227 Se
10.5142 -1.8637 4.2086 Se
1.4361 0.1201 4.8881 O
3.9518 1.0345 4.3938 O
3.3246 1.1281 8.7021 O
0.2442 -0.1201 10.3691 O
5.2878 1.4814 10.5486 O
9.0227 1.7501 8.0450 O
5.8127 0.0982 8.2135 O
2.7600 -1.0345 9.8747 O
7.0045 -0.0982 2.7325 O
4.5164 -1.1281 3.2212 O
8.9733 0.4235 10.4513 O
6.4796 -1.4814 5.0677 O
10.1651 -0.4235 4.9703 O
14.7497 0.4216 2.6381 O
10.2145 -1.7501 2.5641 O
13.5579 -0.4216 8.1191 O
```

No. 5
Simulated XRD peak list of Lu3AlO6 for a wavelength of 1.5418 Å, from a structure optimized by DFT (PBE).
Peak positions follow from Bragg's law for the DFT cell and can differ from measured ones.

The 10 most intense peaks (5 to 70 degrees two-theta), most intense first:
d = 2.850 Å, rel. 100
d = 2.823 Å, rel. 41
d = 4.162 Å, rel. 31
d = 1.917 Å, rel. 28
d = 2.790 Å, rel. 24
d = 1.736 Å, rel. 22
d = 1.892 Å, rel. 20
d = 2.638 Å, rel. 20
d = 1.498 Å, rel. 17
d = 2.717 Å, rel. 16

Crystal structure
```
Lu3AlO6
1.0
4.3304 -5.4337 0.0000
4.3304 5.4337 0.0000
0.0000 0.0000 5.2753
Lu Al O
6 2 12
Cartesian
4.3304 4.3308 2.6377 Lu
2.6581 1.1496 2.3835 Lu
2.6581 -1.1496 5.0211 Lu
6.0026 1.1496 2.3835 Lu
6.0026 -1.1496 5.0211 Lu
4.3304 -4.3308 0.0000 Lu
4.3304 2.1180 4.8283 Al
4.3304 -2.1180 2.1906 Al
2.9808 2.8732 3.9328 O
1.3934 0.1892 3.8293 O
1.3934 -0.1892 1.1916 O
4.3304 2.3205 1.3178 O
5.6799 2.8732 3.9328 O
4.3304 0.4755 4.1120 O
4.3304 -0.4755 1.4744 O
2.9808 -2.8732 1.2951 O
4.3304 -2.3205 3.9555 O
7.2674 0.1892 3.8293 O
7.2674 -0.1892 1.1916 O
5.6799 -2.8732 1.2951 O
```

No. 6
Simulated XRD peak list of Ti2NiMo for a wavelength of 1.5418 Å, from a structure optimized by DFT (PBE).
Peak positions follow from Bragg's law for the DFT cell and can differ from measured ones.

The 8 most intense peaks (5 to 70 degrees two-theta), most intense first:
d = 2.178 Å, rel. 100
d = 1.540 Å, rel. 16
d = 3.080 Å, rel. 9
d = 3.557 Å, rel. 4
d = 1.378 Å, rel. 4
d = 1.778 Å, rel. 3
d = 1.858 Å, rel. 2
d = 1.413 Å, rel. 1

Crystal structure
```
Ti2NiMo
1.0
0.0000 3.0803 3.0803
3.0803 0.0000 3.0803
3.0803 3.0803 0.0000
Ti Ni Mo
2 1 1
Cartesian
1.5402 1.5402 1.5402 Ti
4.6205 4.6205 4.6205 Ti
0.0000 0.0000 0.0000 Ni
3.0803 3.0803 3.0803 Mo
```

No. 7
Simulated XRD peak list of BaAgSb for a wavelength of 1.5418 Å, from a structure optimized by DFT (PBE).
Peak positions follow from Bragg's law for the DFT cell and can differ from measured ones.

The 10 most intense peaks (5 to 70 degrees two-theta), most intense first:
d = 2.880 Å, rel. 100
d = 2.851 Å, rel. 83
d = 1.657 Å, rel. 32
d = 2.026 Å, rel. 31
d = 1.488 Å, rel. 26
d = 1.663 Å, rel. 19
d = 2.217 Å, rel. 14
d = 1.440 Å, rel. 12
d = 3.475 Å, rel. 8
d = 1.738 Å, rel. 7

Crystal structure
```
BaAgSb
1.0
5.7593 0.0000 0.0000
-2.8796 4.9877 0.0000
0.0000 0.0000 6.9502
Ba Ag Sb
2 2 2
Cartesian
0.0000 3.3251 1.7376 Ba
2.8796 1.6626 5.2127 Ba
0.0000 0.0000 0.0000 Ag
0.0000 0.0000 3.4751 Ag
0.0000 3.3251 5.2127 Sb
2.8796 1.6626 1.7376 Sb
```

No. 8
Simulated XRD peak list of Pr2US5 for a wavelength of 1.5418 Å, from a structure optimized by DFT (PBE).
Peak positions follow from Bragg's law for the DFT cell and can differ from measured ones.

The 10 most intense peaks (5 to 70 degrees two-theta), most intense first:
d = 3.532 Å, rel. 100
d = 3.426 Å, rel. 84
d = 2.509 Å, rel. 68
d = 3.362 Å, rel. 65
d = 3.771 Å, rel. 46
d = 1.992 Å, rel. 45
d = 1.760 Å, rel. 41
d = 2.031 Å, rel. 37
d = 2.412 Å, rel. 32
d = 2.230 Å, rel. 23

Crystal structure
```
Pr2US5
1.0
11.9901 0.0000 0.0000
0.0000 8.1202 0.0000
0.0000 0.0000 7.5429
Pr U S
8 4 20
Cartesian
2.1229 8.1179 0.1797 Pr
2.1229 4.0625 0.1797 Pr
3.8722 0.0024 3.9512 Pr
3.8722 4.0577 3.9512 Pr
8.1179 8.1179 3.5917 Pr
8.1179 4.0625 3.5917 Pr
9.8672 0.0024 7.3632 Pr
9.8672 4.0577 7.3632 Pr
0.1117 2.0301 4.3112 U
5.8833 6.0902 0.5397 U
6.1068 2.0301 7.0032 U
11.8783 6.0902 3.2317 U
0.0093 2.0301 7.1923 S
1.1282 4.4036 4.9751 S
1.1282 7.7767 4.9751 S
2.2234 2.0301 2.4956 S
2.5589 6.0902 2.2898 S
3.4361 2.0301 6.0612 S
3.7717 6.0902 6.2670 S
4.8668 0.3435 1.2037 S
4.8668 3.7166 1.2037 S
5.9858 6.0902 3.4209 S
6.0043 2.0301 4.1220 S
7.1232 4.4036 6.3392 S
7.1232 7.7767 6.3392 S
8.2184 2.0301 1.2759 S
8.5539 6.0902 1.4817 S
9.4312 2.0301 5.2531 S
9.7667 6.0902 5.0473 S
10.8619 0.3435 2.5677 S
10.8619 3.7166 2.5677 S
11.9808 6.0902 0.3505 S
```

No. 9
Simulated XRD peak list of RhN5Cl3 for a wavelength of 1.5418 Å, from a structure optimized by DFT (PBE).
Peak positions follow from Bragg's law for the DFT cell and can differ from measured ones.

The 10 most intense peaks (5 to 70 degrees two-theta), most intense first:
d = 2.805 Å, rel. 100
d = 3.617 Å, rel. 94
d = 4.919 Å, rel. 93
d = 7.165 Å, rel. 71
d = 3.583 Å, rel. 64
d = 5.091 Å, rel. 47
d = 2.545 Å, rel. 28
d = 2.322 Å, rel. 27
d = 1.890 Å, rel. 25
d = 2.139 Å, rel. 24

Crystal structure
```
RhN5Cl3
1.0
14.3303 0.0000 0.0000
0.0000 6.7228 0.0000
0.0000 0.0000 7.2346
Rh N Cl
4 20 12
Cartesian
1.3226 1.6807 1.4824 Rh
5.8426 5.0421 5.0998 Rh
8.4877 1.6807 2.1349 Rh
13.0077 5.0421 5.7522 Rh
0.6598 5.0421 4.9614 N
1.6126 1.6807 6.9880 N
1.8066 3.7861 1.4577 N
1.8066 6.2980 1.4577 N
2.6290 1.6807 2.6585 N
4.5361 5.0421 6.2758 N
5.3586 0.4248 5.0751 N
5.3586 2.9366 5.0751 N
5.5525 5.0421 3.3707 N
6.5053 1.6807 1.3441 N
7.8249 5.0421 5.8906 N
8.7778 1.6807 3.8640 N
8.9717 3.7861 2.1596 N
8.9717 6.2980 2.1596 N
9.7941 1.6807 0.9588 N
11.7013 5.0421 4.5761 N
12.5237 0.4248 5.7769 N
12.5237 2.9366 5.7769 N
12.7177 5.0421 0.2467 N
13.6705 1.6807 2.2733 N
0.9818 5.0421 1.7027 Cl
1.5730 3.6222 5.3716 Cl
1.5730 6.4619 5.3716 Cl
5.5921 0.2608 1.7543 Cl
5.5921 3.1005 1.7543 Cl
6.1834 1.6807 5.3200 Cl
8.1469 5.0421 1.9146 Cl
8.7382 3.6222 5.4803 Cl
8.7382 6.4619 5.4803 Cl
12.7572 0.2608 1.8630 Cl
12.7572 3.1005 1.8630 Cl
13.3485 1.6807 5.5319 Cl
```

No. 10
Simulated XRD peak list of DyLuIr2 for a wavelength of 1.5418 Å, from a structure optimized by DFT (PBE).
Peak positions follow from Bragg's law for the DFT cell and can differ from measured ones.

The 3 most intense peaks (5 to 70 degrees two-theta), most intense first:
d = 2.399 Å, rel. 100
d = 1.385 Å, rel. 36
d = 1.696 Å, rel. 18

Crystal structure
```
DyLuIr2
1.0
0.0000 3.3924 3.3924
3.3924 0.0000 3.3924
3.3924 3.3924 0.0000
Dy Lu Ir
1 1 2
Cartesian
0.0000 0.0000 0.0000 Dy
3.3924 3.3924 3.3924 Lu
1.6962 1.6962 1.6962 Ir
5.0886 5.0886 5.0886 Ir
```